No. 1
Diffraction record for Na12TlAg2. The powder diffractogram is theoretical, not measured: it uses a crystal structure in Alexandria, relaxed with GGA-PBE and Cu Kα, 1.54184 Å.

Most intense lines, 2θ = 10–80°, by angle:
d_spacing  2theta  Rel. int.
5.143  17.24  43
4.595  19.32  67
4.523  19.63  93
3.426  26.00  76
3.134  28.48  47
2.747  32.60  71
2.589  34.65  100
2.297  39.22  42

Cell and atoms:
Unit cell a=6.498 b=6.498 c=25.716 alpha=90.00 beta=90.00 gamma=90.00
Fractional coordinates of all 30 atoms:
Na 0.000 0.000 0.091
Na 0.000 0.000 0.909
Na 0.000 0.500 0.091
Na 0.000 0.500 0.909
Na 0.067 0.567 0.437
Na 0.067 0.933 0.563
Na 0.250 0.250 0.199
Na 0.250 0.250 0.329
Na 0.250 0.250 0.671
Na 0.250 0.250 0.801
Na 0.433 0.567 0.563
Na 0.433 0.933 0.437
Na 0.500 0.000 0.091
Na 0.500 0.000 0.909
Na 0.500 0.500 0.091
Na 0.500 0.500 0.909
Na 0.567 0.067 0.563
Na 0.567 0.433 0.437
Na 0.750 0.750 0.199
Na 0.750 0.750 0.329
Na 0.750 0.750 0.671
Na 0.750 0.750 0.801
Na 0.933 0.067 0.437
Na 0.933 0.433 0.563
Tl 0.250 0.750 0.000
Tl 0.750 0.250 0.000
Ag 0.250 0.750 0.179
Ag 0.250 0.750 0.821
Ag 0.750 0.250 0.179
Ag 0.750 0.250 0.821

No. 2
Diffraction record for Na3Tl4Ag2. The powder diffractogram is theoretical, not measured: it uses a crystal structure in Alexandria, relaxed with GGA-PBE and Cu Kα, 1.54184 Å.

Most intense lines, 2θ = 10–80°, by angle:
d_spacing  2theta  Rel. int.
4.518  19.65  66
4.491  19.77  31
3.330  26.77  75
2.679  33.45  95
2.614  34.31  48
2.598  34.52  100
2.056  44.04  37
2.048  44.22  76

Cell and atoms:
Unit cell a=9.037 b=9.037 c=6.661 alpha=90.00 beta=90.00 gamma=120.40
Fractional coordinates of all 18 atoms:
Na 0.000 0.000 0.250
Na 0.000 0.000 0.750
Na 0.327 0.673 0.250
Na 0.327 0.673 0.750
Na 0.673 0.327 0.250
Na 0.673 0.327 0.750
Tl 0.006 0.679 0.000
Tl 0.318 0.340 0.500
Tl 0.321 0.994 0.500
Tl 0.340 0.318 0.000
Tl 0.660 0.682 0.000
Tl 0.679 0.006 0.500
Tl 0.682 0.660 0.500
Tl 0.994 0.321 0.000
Ag 0.002 0.657 0.500
Ag 0.343 0.998 0.000
Ag 0.657 0.002 0.000
Ag 0.998 0.343 0.500

No. 3
Diffraction record for NaZn5Ag7. The powder diffractogram is theoretical, not measured: it uses a crystal structure in Alexandria, relaxed with GGA-PBE and Cu Kα, 1.54184 Å.

Most intense lines, 2θ = 10–80°, by angle:
d_spacing  2theta  Rel. int.
6.574  13.47  32
2.666  33.62  35
2.335  38.56  32
2.322  38.79  45
2.315  38.91  83
2.301  39.15  52
2.083  43.45  64
2.062  43.91  100

Cell and atoms:
Unit cell a=7.087 b=7.087 c=7.087 alpha=136.12 beta=98.48 gamma=97.57
Fractional coordinates of all 13 atoms:
Na 0.000 0.000 0.000
Zn 0.497 0.495 0.503
Zn 0.497 0.995 0.002
Zn 0.772 0.272 0.500
Zn 0.992 0.495 0.998
Zn 0.992 0.995 0.497
Ag 0.199 0.493 0.707
Ag 0.219 0.719 0.500
Ag 0.343 0.997 0.346
Ag 0.348 0.348 0.000
Ag 0.651 0.997 0.654
Ag 0.655 0.655 0.000
Ag 0.786 0.493 0.293

No. 4
Diffraction record for Na2Zn7Ag12. The powder diffractogram is theoretical, not measured: it uses a crystal structure in Alexandria, relaxed with GGA-PBE and Cu Kα, 1.54184 Å.

Most intense lines, 2θ = 10–80°, by angle:
d_spacing  2theta  Rel. int.
6.005  14.75  20
2.356  38.20  100
2.270  39.71  99
2.060  43.95  17
1.635  56.28  24
1.326  71.07  27
1.310  72.08  11
1.235  77.26  22

Cell and atoms:
Unit cell a=12.010 b=12.010 c=2.943 alpha=90.00 beta=90.00 gamma=120.00
Fractional coordinates of all 21 atoms:
Na 0.333 0.667 0.248
Na 0.667 0.333 0.752
Zn 0.000 0.000 0.500
Zn 0.131 0.418 0.746
Zn 0.287 0.869 0.746
Zn 0.418 0.287 0.254
Zn 0.582 0.713 0.746
Zn 0.713 0.131 0.254
Zn 0.869 0.582 0.254
Ag 0.077 0.832 0.242
Ag 0.083 0.620 0.750
Ag 0.168 0.245 0.242
Ag 0.245 0.077 0.758
Ag 0.380 0.464 0.750
Ag 0.464 0.083 0.250
Ag 0.536 0.917 0.750
Ag 0.620 0.536 0.250
Ag 0.755 0.923 0.242
Ag 0.832 0.755 0.758
Ag 0.917 0.380 0.250
Ag 0.923 0.168 0.758